La4FeSe6O: computed powder diffractogram (CuKα), based on a DFT-relaxed cell (PBE+U, the Materials Project).

The 10 most intense peaks (2θ = 10–80°), by angle:
- 2θ 24.35, d = 3.655 Å, intensity 58
- 2θ 24.47, d = 3.638 Å, intensity 59
- 2θ 30.47, d = 2.933 Å, intensity 54
- 2θ 30.60, d = 2.921 Å, intensity 76
- 2θ 32.72, d = 2.737 Å, intensity 69
- 2θ 32.85, d = 2.727 Å, intensity 68
- 2θ 32.95, d = 2.718 Å, intensity 66
- 2θ 33.99, d = 2.638 Å, intensity 51
- 2θ 34.13, d = 2.627 Å, intensity 100
- 2θ 36.64, d = 2.453 Å, intensity 77

Atomic structure:
Unit cell a=9.8002 b=9.8093 c=14.2323 alpha=90.31 beta=90.16 gamma=119.94
Atoms (fractional coordinates):
La 0.0000 0.0000 0.0000
La 0.9998 0.4012 0.0007
La 0.0026 0.0002 0.4991
La 0.0032 0.4013 0.5004
La 0.1313 0.2633 0.7269
La 0.1337 0.2653 0.2265
La 0.2005 0.8010 0.7493
La 0.2023 0.8011 0.2495
La 0.3999 0.4004 0.9996
La 0.4032 0.4014 0.5019
La 0.4684 0.9330 0.4769
La 0.4706 0.9373 0.9767
La 0.6015 0.2007 0.7516
La 0.6028 0.2012 0.2517
La 0.6029 0.8010 0.2499
La 0.6036 0.8011 0.7510
Fe 0.7958 0.5978 0.8293
Fe 0.7980 0.5991 0.5819
Fe 0.8018 0.5966 0.3310
Fe 0.8028 0.5980 0.0805
Se 0.0395 0.7199 0.9453
Se 0.0507 0.7238 0.4466
Se 0.2681 0.5388 0.8572
Se 0.2690 0.1282 0.8575
Se 0.2734 0.1317 0.3575
Se 0.2732 0.5396 0.3574
Se 0.3306 0.0699 0.1076
Se 0.3315 0.6604 0.6076
Se 0.3324 0.0713 0.6074
Se 0.3328 0.6626 0.1059
Se 0.5562 0.4771 0.1981
Se 0.5562 0.4783 0.7021
Se 0.6737 0.3481 0.9501
Se 0.6774 0.7237 0.4488
Se 0.6782 0.3525 0.4500
Se 0.6780 0.7216 0.9468
Se 0.7421 0.0695 0.1081
Se 0.7422 0.0719 0.6080
Se 0.8598 0.1298 0.8578
Se 0.8619 0.1303 0.3575
Se 0.9229 0.4778 0.6990
Se 0.9271 0.4758 0.1991
Se 0.9269 0.8491 0.1973
Se 0.9268 0.8526 0.6955
O 0.1346 0.2676 0.0585
O 0.1357 0.2675 0.5587
O 0.4677 0.9336 0.8087
O 0.4694 0.9342 0.3087

=====

Ti3Mn2VP6O24: computed powder diffractogram (CuKα), based on a DFT-relaxed cell (PBE+U, the Materials Project).

The 10 most intense peaks (2θ = 10–80°), by angle:
- 2θ 20.49, d = 4.334 Å, intensity 67
- 2θ 24.06, d = 3.699 Å, intensity 100
- 2θ 25.16, d = 3.540 Å, intensity 15
- 2θ 31.82, d = 2.812 Å, intensity 15
- 2θ 32.62, d = 2.745 Å, intensity 68
- 2θ 35.89, d = 2.502 Å, intensity 30
- 2θ 46.80, d = 1.941 Å, intensity 25
- 2θ 49.27, d = 1.849 Å, intensity 24
- 2θ 56.15, d = 1.638 Å, intensity 20
- 2θ 62.45, d = 1.487 Å, intensity 16

Atomic structure:
Unit cell a=8.6839 b=8.6839 c=8.6839 alpha=59.87 beta=59.87 gamma=59.87
Atoms (fractional coordinates):
Ti 0.0000 0.0000 0.0000
Ti 0.2092 0.2092 0.2092
Ti 0.5015 0.5015 0.5015
Mn 0.3542 0.3542 0.3542
Mn 0.8545 0.8545 0.8545
V 0.7120 0.7120 0.7120
P 0.1057 0.8111 0.3982
P 0.3127 0.6054 0.8988
P 0.3982 0.1057 0.8111
P 0.6054 0.8988 0.3127
P 0.8111 0.3982 0.1057
P 0.8988 0.3127 0.6054
O 0.0463 0.8544 0.2359
O 0.0920 0.2906 0.4394
O 0.1176 0.7686 0.9138
O 0.1685 0.9724 0.3512
O 0.2359 0.0463 0.8544
O 0.2715 0.6192 0.4107
O 0.2906 0.4394 0.0920
O 0.3512 0.1685 0.9724
O 0.3549 0.5454 0.7355
O 0.4107 0.2715 0.6192
O 0.4394 0.0920 0.2906
O 0.4675 0.6609 0.8644
O 0.5454 0.7355 0.3549
O 0.5895 0.9464 0.7984
O 0.6192 0.4107 0.2715
O 0.6609 0.8644 0.4675
O 0.7355 0.3549 0.5454
O 0.7686 0.9138 0.1176
O 0.7984 0.5895 0.9464
O 0.8544 0.2359 0.0463
O 0.8644 0.4675 0.6609
O 0.9138 0.1176 0.7686
O 0.9464 0.7984 0.5895
O 0.9724 0.3512 0.1685

=====

Cs2NaVO4: computed powder diffractogram (CuKα), based on a DFT-relaxed cell (PBE+U, the Materials Project).

The 10 most intense peaks (2θ = 10–80°), by angle:
- 2θ 23.14, d = 3.844 Å, intensity 59
- 2θ 26.25, d = 3.396 Å, intensity 29
- 2θ 28.41, d = 3.141 Å, intensity 64
- 2θ 28.75, d = 3.106 Å, intensity 100
- 2θ 28.88, d = 3.091 Å, intensity 23
- 2θ 29.91, d = 2.987 Å, intensity 31
- 2θ 30.25, d = 2.954 Å, intensity 23
- 2θ 31.88, d = 2.807 Å, intensity 41
- 2θ 32.28, d = 2.774 Å, intensity 47
- 2θ 39.06, d = 2.306 Å, intensity 34

Atomic structure:
Unit cell a=6.1914 b=6.2830 c=8.4356 alpha=90.00 beta=93.12 gamma=90.00
Atoms (fractional coordinates):
Cs 0.1487 0.2500 0.1810
Cs 0.2980 0.7500 0.5137
Cs 0.7020 0.2500 0.4863
Cs 0.8513 0.7500 0.8190
Na 0.3721 0.7500 0.0274
Na 0.6279 0.2500 0.9726
V 0.2043 0.2500 0.7583
V 0.7957 0.7500 0.2417
O 0.0626 0.7500 0.1807
O 0.2019 0.2500 0.5514
O 0.3420 0.0251 0.8345
O 0.3420 0.4749 0.8345
O 0.6580 0.5251 0.1655
O 0.6580 0.9749 0.1655
O 0.7981 0.7500 0.4486
O 0.9374 0.2500 0.8193

=====

KBaMnO4: computed powder diffractogram (CuKα), based on a DFT-relaxed cell (PBE+U, the Materials Project).

The 10 most intense peaks (2θ = 10–80°), by angle:
- 2θ 17.23, d = 5.146 Å, intensity 40
- 2θ 25.39, d = 3.509 Å, intensity 42
- 2θ 28.00, d = 3.187 Å, intensity 28
- 2θ 28.30, d = 3.153 Å, intensity 36
- 2θ 28.46, d = 3.136 Å, intensity 100
- 2θ 29.78, d = 3.000 Å, intensity 54
- 2θ 30.22, d = 2.957 Å, intensity 53
- 2θ 39.40, d = 2.287 Å, intensity 37
- 2θ 41.67, d = 2.168 Å, intensity 27
- 2θ 41.88, d = 2.157 Å, intensity 34

Atomic structure:
Unit cell a=7.9117 b=5.9141 c=10.4442 alpha=90.00 beta=90.00 gamma=90.00
Atoms (fractional coordinates):
K 0.1601 0.2500 0.0814
K 0.3399 0.7500 0.5814
K 0.6601 0.2500 0.4186
K 0.8399 0.7500 0.9186
Ba 0.0078 0.7500 0.3078
Ba 0.4922 0.2500 0.8078
Ba 0.5078 0.7500 0.1922
Ba 0.9922 0.2500 0.6922
Mn 0.2323 0.2500 0.4181
Mn 0.2677 0.7500 0.9181
Mn 0.7323 0.2500 0.0819
Mn 0.7677 0.7500 0.5819
O 0.0155 0.2500 0.4207
O 0.1958 0.7500 0.0742
O 0.1991 0.5100 0.8417
O 0.1991 0.9900 0.8417
O 0.3009 0.0100 0.3417
O 0.3009 0.4900 0.3417
O 0.3042 0.2500 0.5742
O 0.4845 0.7500 0.9207
O 0.5155 0.2500 0.0793
O 0.6958 0.7500 0.4258
O 0.6991 0.5100 0.6583
O 0.6991 0.9900 0.6583
O 0.8009 0.0100 0.1583
O 0.8009 0.4900 0.1583
O 0.8042 0.2500 0.9258
O 0.9845 0.7500 0.5793